Diffraction record for NaSr2Al4Au3. The powder XRD pattern is theoretical, not measured: it uses a DFT-relaxed cell (PBE, Alexandria) and Cu Kα.

Structure:
a b c (Å): 4.5005 4.5005 11.1806
angles (deg): 90.00 90.00 90.00
Atoms (fractional coordinates):
Na 0.0000 0.0000 0.0000
Sr 0.0000 0.5000 0.7399
Sr 0.5000 0.0000 0.2601
Al 0.0000 0.0000 0.5000
Al 0.0000 0.5000 0.1476
Al 0.5000 0.0000 0.8524
Al 0.5000 0.5000 0.5000
Au 0.0000 0.5000 0.3765
Au 0.5000 0.0000 0.6235
Au 0.5000 0.5000 0.0000

Largest 6 diffraction maxima, by intensity, 2θ = 10–80°:
2θ 31.2, rel. 100, hkl 1 0 3
2θ 25.4, rel. 84, hkl 1 0 2
2θ 29.2, rel. 83, hkl 1 1 1
2θ 40.1, rel. 79, hkl 2 0 0
2θ 32.4, rel. 74, hkl 1 1 2
2θ 51.6, rel. 49, hkl 2 1 3